No. 1
For LiVGeO5, a structure optimized by DFT (GGA+U) gives the calculated powder XRD pattern in this record (Cu Ka).

The 10 most intense peaks (10° ≤ 2θ ≤ 90°), in order of rising 2θ:
two_theta	I/Imax
18.5	100
23.8	15
27.1	45
27.8	45
31.8	23
33.6	46
34.3	14
39.2	12
42.7	19
57.4	10

Structure:
```
LiVGeO5
1.0
4.8104 0.0000 0.0000
0.0000 6.4240 0.0000
-0.5115 0.0000 6.5730
Li V Ge O
2 2 2 10
Direct
0.0000 0.0000 0.0000
0.0000 0.5000 0.0000
0.3906 0.2500 0.7531
0.6094 0.7500 0.2469
0.4797 0.7500 0.7516
0.5203 0.2500 0.2484
0.2601 0.2500 0.0446
0.2639 0.5270 0.7670
0.2639 0.9730 0.7670
0.2716 0.7500 0.1881
0.3545 0.2500 0.4777
0.6455 0.7500 0.5223
0.7284 0.2500 0.8119
0.7361 0.0270 0.2330
0.7361 0.4730 0.2330
0.7399 0.7500 0.9554
```


No. 2
For LiVGeO5, a structure optimized by DFT (GGA+U) gives the calculated powder XRD pattern in this record (Cu Ka).

The 10 most intense peaks (10° ≤ 2θ ≤ 90°), in order of rising 2θ:
two_theta	I/Imax
18.8	97
23.3	29
27.4	100
33.4	87
43.4	14
44.1	14
55.5	11
56.6	23
59.4	11
60.2	14

Structure:
```
LiVGeO5
1.0
4.5554 -4.6408 0.0000
4.5554 4.6408 0.0000
0.0000 0.0000 4.7291
Li V Ge O
2 2 2 10
Direct
0.0000 0.5000 0.0000
0.5000 0.0000 0.0000
0.2500 0.7500 0.6124
0.7500 0.2500 0.3876
0.2500 0.2500 0.5000
0.7500 0.7500 0.5000
0.0318 0.2573 0.2768
0.2427 0.4682 0.7232
0.2500 0.7500 0.2672
0.2573 0.0318 0.7232
0.4682 0.2427 0.2768
0.5318 0.7573 0.7232
0.7427 0.9682 0.2768
0.7500 0.2500 0.7328
0.7573 0.5318 0.2768
0.9682 0.7427 0.7232
```